Structure and computed PXRD pattern of TbGaFe (a cell relaxed with GGA-PBE; CuKα).
Lines closer than 0.1° are merged.

Top 8 peaks for 2θ = 10–80°, low angle first:
24.46 deg, d = 3.639 Å, intensity 197; 34.54 deg, d = 2.597 Å, intensity 1000; 43.06 deg, d = 2.101 Å, intensity 452; 49.17 deg, d = 1.853 Å, intensity 102; 56.33 deg, d = 1.633 Å, intensity 242; 67.38 deg, d = 1.390 Å, intensity 231; 73.44 deg, d = 1.289 Å, intensity 217; 78.93 deg, d = 1.213 Å, intensity 73

Structural model:
Cell lengths 4.2017, 4.2017, 7.4124 Å; angles 90.00, 90.00, 120.00 degrees
Element x y z (fractional)
Tb 0.0000 0.0000 0.0000
Tb 0.0000 0.0000 0.5000
Ga 0.3333 0.6667 0.2500
Ga 0.6667 0.3333 0.7500
Fe 0.3333 0.6667 0.7500
Fe 0.6667 0.3333 0.2500